# 1
# V4ZnNi15
Computed powder X-ray diffraction pattern, Cu Kα (weighted mean of Kα1 and Kα2). Input: a cell relaxed with GGA-PBE.
Neutral-atom scattering factors, no anomalous dispersion.

Structure:
a b c (Å): 3.5611 3.5611 17.8297
angles (deg): 90.00 90.00 90.00
Space group P4/mmm (No. 123)
Symmetry-distinct sites (fractional):
V1 0.0000 0.0000 0.1005
V2 0.0000 0.0000 0.3037
Zn1 0.0000 0.0000 0.5000
Ni1 0.0000 0.5000 0.0000
Ni2 0.0000 0.5000 0.2002
Ni3 0.0000 0.5000 0.3966
Ni4 0.5000 0.5000 0.1003
Ni5 0.5000 0.5000 0.2984
Ni6 0.5000 0.5000 0.5000

Top 4 peaks for 2θ = 5–70°, low angle first:
d/Å	I (rel.)
3.563	0.6
2.519	0.5
2.057	100.0
1.781	46.3



# 2
# Ni3W2
Computed powder X-ray diffraction pattern, Cu Kα (weighted mean of Kα1 and Kα2). Input: a cell relaxed with GGA-PBE.
Neutral-atom scattering factors, no anomalous dispersion.

Structure:
a b c (Å): 8.3032 12.6158 4.9309
angles (deg): 90.00 90.00 90.00
Space group Fdd2 (No. 43)
Symmetry-distinct sites (fractional):
Ni1 0.0000 0.0000 0.0000
Ni2 0.0571 0.3852 0.1173
W1 0.0565 0.3053 0.6290

Top 10 peaks for 2θ = 5–70°, low angle first:
d/Å	I (rel.)
3.468	25.5
2.986	33.4
2.511	27.7
2.371	39.9
2.296	36.4
2.168	100.0
2.120	54.7
2.093	36.5
2.009	36.2
1.972	39.3



# 3
# NiW2
Computed powder X-ray diffraction pattern, Cu Kα (weighted mean of Kα1 and Kα2). Input: a cell relaxed with GGA-PBE.
Neutral-atom scattering factors, no anomalous dispersion.

Structure:
a b c (Å): 4.4308 4.4308 2.5942
angles (deg): 90.00 90.00 120.00
Space group P-3m1 (No. 164)
Symmetry-distinct sites (fractional):
Ni1 0.0000 0.0000 0.0000
W1 0.3333 0.6667 0.3198

Top 8 peaks for 2θ = 5–70°, low angle first:
d/Å	I (rel.)
3.837	30.5
2.594	2.2
2.215	98.9
2.149	100.0
1.919	4.9
1.685	3.9
1.543	35.2
1.450	4.1